The following is a calculated PXRD pattern of TiInNiPt. It was derived from a structure optimized by DFT (GGA-PBE), using Cu Kα (λ = 1.5418 Å).

The 10 most intense peaks (2θ from 15° to 90°), in order of rising 2θ:
24.4°, I 28, (1 1 1); 28.2°, I 6, (2 0 0); 40.3°, I 100, (2 2 0); 47.7°, I 15, (3 1 1); 58.3°, I 16, (4 0 0); 64.1°, I 6, (3 3 1); 66.0°, I 3, (4 2 0); 73.3°, I 33, (4 2 2); 78.5°, I 5, (5 1 1); 87.1°, I 11, (4 4 0)

Atomic structure:
a = 6.329 Å, b = 6.329 Å, c = 6.329 Å
α = 90.00°, β = 90.00°, γ = 90.00°
Space group F-43m (No. 216)
One atom of each set of equivalent atoms:
Ti1 0.000 0.000 0.000 x4
In1 0.000 0.000 0.500 x4
Ni1 0.250 0.250 0.750 x4
Pt1 0.250 0.250 0.250 x4

***

The following is a calculated PXRD pattern of Pu2In8Ni. It was derived from a structure optimized by DFT (GGA-PBE), using Cu Kα (λ = 1.5418 Å).

The 10 most intense peaks (2θ from 15° to 90°), in order of rising 2θ:
19.0°, I 13, (1 0 0); 30.9°, I 48, (1 1 2); 35.1°, I 100, (1 1 3); 36.9°, I 22, (0 0 5); 38.6°, I 55, (2 0 0); 54.5°, I 28, (2 0 5); 55.8°, I 19, (2 2 0); 67.6°, I 29, (3 1 3); 67.8°, I 16, (1 1 8); 68.8°, I 14, (2 2 5)

Atomic structure:
a = 4.661 Å, b = 4.661 Å, c = 12.177 Å
α = 90.00°, β = 90.00°, γ = 90.00°
Space group P4/mmm (No. 123)
One atom of each set of equivalent atoms:
Pu1 0.000 0.000 0.193 x2
In1 0.000 0.500 0.000 x2
In2 0.000 0.500 0.379 x4
In3 0.500 0.500 0.191 x2
Ni1 0.000 0.000 0.500 x1